No. 1
# CsErCu2Br8
Calculated X-ray powder pattern, copper Kα. Input: a DFT-relaxed cell (GGA-PBE, Alexandria).
No peak broadening, texture or thermal motion is included.

Cell lengths 10.6872, 7.7715, 10.7550 Å; angles 90.00, 94.08, 90.00 degrees
Space group C2/m (No. 12)
One atom of each set of equivalent atoms:
Cs 0.0000 0.0000 0.0000 x2
Er 0.0000 0.0000 0.5000 x2
Cu 0.1319 0.5000 0.2930 x4
Br 0.0049 0.2399 0.6943 x8
Br 0.1658 0.5000 0.0822 x4
Br 0.2390 0.5000 0.4949 x4

Principal peaks in the range 15 to 90 degrees two-theta, low angle first:
5.522 Å, 16.05°, I = 55.1, hkl 1 1 -1
5.329 Å, 16.64°, I = 61.1, hkl 2 0 0
3.997 Å, 22.24°, I = 53.1, hkl 1 1 2
3.886 Å, 22.89°, I = 35.6, hkl 0 2 0
3.232 Å, 27.60°, I = 91.6, hkl 3 1 0
3.147 Å, 28.36°, I = 100.0, hkl 0 2 2
2.664 Å, 33.65°, I = 35.2, hkl 4 0 0
2.631 Å, 34.08°, I = 34.3, hkl 4 0 -1
1.993 Å, 45.51°, I = 51.9, hkl 4 2 2
1.923 Å, 47.26°, I = 33.6, hkl 4 2 -3

***

No. 2
# Dy2ZrPt9
Calculated X-ray powder pattern, copper Kα. Input: a DFT-relaxed cell (GGA-PBE, Alexandria).
No peak broadening, texture or thermal motion is included.

Cell lengths 4.0957, 4.0957, 12.2937 Å; angles 90.00, 90.00, 90.00 degrees
Space group P4/mmm (No. 123)
One atom of each set of equivalent atoms:
Dy 0.0000 0.0000 0.1668 x2
Zr 0.0000 0.0000 0.5000 x1
Pt 0.0000 0.5000 0.0000 x2
Pt 0.0000 0.5000 0.3396 x4
Pt 0.5000 0.5000 0.1698 x2
Pt 0.5000 0.5000 0.5000 x1

Principal peaks in the range 15 to 90 degrees two-theta, low angle first:
4.096 Å, 21.70°, I = 1.7, hkl 1 0 0
2.897 Å, 30.87°, I = 1.5, hkl 1 1 0
2.459 Å, 36.55°, I = 0.6, hkl 0 0 5
2.365 Å, 38.05°, I = 100.0, hkl 1 1 3
2.048 Å, 44.22°, I = 49.3, hkl 2 0 0
1.832 Å, 49.77°, I = 0.8, hkl 2 1 0
1.672 Å, 54.90°, I = 0.6, hkl 2 1 3
1.448 Å, 64.32°, I = 32.4, hkl 2 2 0
1.235 Å, 77.24°, I = 38.4, hkl 3 1 3
1.183 Å, 81.37°, I = 11.2, hkl 2 2 6

***

No. 3
# Pm2Dy3Ho6
Calculated X-ray powder pattern, copper Kα. Input: a DFT-relaxed cell (GGA-PBE, Alexandria).
No peak broadening, texture or thermal motion is included.

Cell lengths 6.0932, 10.5703, 11.6541 Å; angles 90.00, 100.15, 90.00 degrees
Space group C2/m (No. 12)
One atom of each set of equivalent atoms:
Pm 0.0000 0.1666 0.0000 x4
Dy 0.0000 0.0000 0.5000 x2
Dy 0.0000 0.3350 0.5000 x4
Ho 0.2492 0.1668 0.7477 x8
Ho 0.2504 0.0000 0.2522 x4

Principal peaks in the range 15 to 90 degrees two-theta, low angle first:
2.874 Å, 31.12°, I = 100.0, hkl 1 3 1
2.868 Å, 31.19°, I = 32.9, hkl 0 0 4
2.488 Å, 36.11°, I = 66.9, hkl 2 0 2
1.760 Å, 51.96°, I = 31.7, hkl 0 6 0
1.757 Å, 52.05°, I = 15.7, hkl 1 3 5
1.502 Å, 61.76°, I = 9.5, hkl 2 6 -2
1.500 Å, 61.84°, I = 32.9, hkl 4 0 0
1.498 Å, 61.94°, I = 14.0, hkl 3 3 3
1.437 Å, 64.89°, I = 12.2, hkl 2 6 2
1.142 Å, 84.96°, I = 13.8, hkl 4 6 0

***

No. 4
# KZn12Ag7
Calculated X-ray powder pattern, copper Kα. Input: a DFT-relaxed cell (GGA-PBE, Alexandria).
No peak broadening, texture or thermal motion is included.

Cell lengths 13.6593, 13.6593, 6.6740 Å; angles 90.00, 90.00, 120.00 degrees
Space group R-3m (No. 166, hexagonal axes)
One atom of each set of equivalent atoms:
K 0.0000 0.0000 0.0000 x3
Zn 0.0000 0.2691 0.0000 x18
Zn 0.1056 0.5528 0.9535 x18
Ag 0.0000 0.0000 0.5000 x3
Ag 0.1034 0.5517 0.3583 x18

Principal peaks in the range 15 to 90 degrees two-theta, low angle first:
4.427 Å, 20.06°, I = 24.2, hkl 0 2 1
2.704 Å, 33.13°, I = 27.1, hkl 4 0 1
2.674 Å, 33.51°, I = 51.1, hkl 1 2 2
2.514 Å, 35.72°, I = 35.7, hkl 3 2 1
2.277 Å, 39.59°, I = 100.0, hkl 3 3 0
2.225 Å, 40.54°, I = 32.9, hkl 0 0 3
2.213 Å, 40.77°, I = 53.4, hkl 0 4 2
2.118 Å, 42.69°, I = 21.4, hkl 2 4 1
2.105 Å, 42.96°, I = 33.8, hkl 2 3 2
1.591 Å, 57.96°, I = 24.9, hkl 3 3 3

***

No. 5
# Pm4TlHg3
Calculated X-ray powder pattern, copper Kα. Input: a DFT-relaxed cell (GGA-PBE, Alexandria).
No peak broadening, texture or thermal motion is included.

Cell lengths 3.8032, 3.8032, 15.5704 Å; angles 90.00, 90.00, 90.00 degrees
Space group P4/mmm (No. 123)
One atom of each set of equivalent atoms:
Pm 0.0000 0.0000 0.1227 x2
Pm 0.0000 0.0000 0.3682 x2
Tl 0.5000 0.5000 0.5000 x1
Hg 0.5000 0.5000 0.0000 x1
Hg 0.5000 0.5000 0.2463 x2

Principal peaks in the range 15 to 90 degrees two-theta, low angle first:
2.720 Å, 32.93°, I = 100.0, hkl 1 0 4
2.689 Å, 33.32°, I = 48.9, hkl 1 1 0
1.946 Å, 46.67°, I = 9.3, hkl 0 0 8
1.902 Å, 47.83°, I = 18.0, hkl 2 0 0
1.577 Å, 58.54°, I = 19.1, hkl 1 1 8
1.559 Å, 59.29°, I = 37.7, hkl 2 1 4
1.360 Å, 69.05°, I = 11.7, hkl 2 0 8
1.228 Å, 77.77°, I = 8.1, hkl 1 0 12
1.205 Å, 79.52°, I = 8.2, hkl 3 0 4
1.203 Å, 79.73°, I = 8.2, hkl 3 1 0

***

No. 6
# Cs3Li2DyI9
Calculated X-ray powder pattern, copper Kα. Input: a DFT-relaxed cell (GGA-PBE, Alexandria).
No peak broadening, texture or thermal motion is included.

Cell lengths 8.4569, 8.4569, 10.5277 Å; angles 90.00, 90.00, 120.00 degrees
Space group P-3m1 (No. 164)
One atom of each set of equivalent atoms:
Cs 0.0000 0.0000 0.0000 x1
Cs 0.3333 0.6667 0.6742 x2
Li 0.3333 0.6667 0.1409 x2
Dy 0.0000 0.0000 0.5000 x1
I 0.0000 0.5000 0.0000 x3
I 0.1681 0.3361 0.3337 x6

Principal peaks in the range 15 to 90 degrees two-theta, low angle first:
3.509 Å, 25.38°, I = 31.7, hkl 0 0 3
3.459 Å, 25.76°, I = 93.0, hkl 0 2 1
3.006 Å, 29.72°, I = 100.0, hkl 2 0 2
2.137 Å, 42.29°, I = 37.4, hkl 0 2 4
2.114 Å, 42.77°, I = 36.2, hkl 2 2 0
1.825 Å, 49.97°, I = 14.5, hkl 2 0 5
1.811 Å, 50.39°, I = 28.2, hkl 2 2 3
1.729 Å, 52.95°, I = 19.4, hkl 0 4 2
1.350 Å, 69.63°, I = 16.7, hkl 2 2 6
1.339 Å, 70.33°, I = 16.6, hkl 4 2 2

***

No. 7
# Dy2UTc2
Calculated X-ray powder pattern, copper Kα. Input: a DFT-relaxed cell (GGA-PBE, Alexandria).
No peak broadening, texture or thermal motion is included.

Cell lengths 9.9020, 5.9131, 7.8847 Å; angles 90.00, 100.12, 90.00 degrees
Space group C2/c (No. 15)
One atom of each set of equivalent atoms:
Dy 0.1510 0.1240 0.1501 x8
U 0.0000 0.3740 0.7500 x4
Tc 0.1252 0.3733 0.5119 x8

Principal peaks in the range 15 to 90 degrees two-theta, low angle first:
2.848 Å, 31.41°, I = 33.1, hkl 3 1 0
2.806 Å, 31.90°, I = 54.8, hkl 2 0 2
2.763 Å, 32.40°, I = 100.0, hkl 0 2 1
2.550 Å, 35.20°, I = 48.9, hkl 3 1 1
2.486 Å, 36.14°, I = 41.8, hkl 3 1 -2
2.393 Å, 37.58°, I = 54.9, hkl 1 1 -3
2.342 Å, 38.44°, I = 68.8, hkl 2 2 1
2.249 Å, 40.08°, I = 31.8, hkl 4 0 -2
1.870 Å, 48.70°, I = 33.9, hkl 1 1 -4
1.440 Å, 64.72°, I = 30.8, hkl 6 2 -1

***

No. 8
# Tm3AlNi8
Calculated X-ray powder pattern, copper Kα. Input: a DFT-relaxed cell (GGA-PBE, Alexandria).
No peak broadening, texture or thermal motion is included.

Cell lengths 5.0235, 5.0235, 15.9527 Å; angles 90.00, 90.00, 120.00 degrees
Space group P6_3/mmc (No. 194)
One atom of each set of equivalent atoms:
Tm 0.3333 0.6667 0.0447 x4
Tm 0.3333 0.6667 0.2500 x2
Al 0.0000 0.0000 0.0000 x2
Ni 0.0000 0.0000 0.2500 x2
Ni 0.1692 0.3383 0.6248 x12
Ni 0.3333 0.6667 0.7500 x2

Principal peaks in the range 15 to 90 degrees two-theta, low angle first:
2.573 Å, 34.87°, I = 100.0, hkl 1 0 5
2.512 Å, 35.75°, I = 62.9, hkl 1 1 0
2.175 Å, 41.51°, I = 22.1, hkl 2 0 0
2.155 Å, 41.92°, I = 47.7, hkl 2 0 1
2.125 Å, 42.54°, I = 98.8, hkl 1 1 4
2.013 Å, 45.03°, I = 31.1, hkl 2 0 3
1.462 Å, 63.67°, I = 33.8, hkl 2 1 5
1.363 Å, 68.90°, I = 22.7, hkl 3 0 4
1.347 Å, 69.85°, I = 21.7, hkl 1 1 10
1.256 Å, 75.74°, I = 26.0, hkl 2 2 0